1.
Simulated XRD peak list
Compound: Ag17Pb
Radiation: copper Kα
Structure: a cell relaxed with GGA-PBE

The 8 most intense peaks (2θ = 10–90°), in order of rising 2θ:
2θ = 35.24°, rel. 20, hkl 0 0 12; 2θ = 37.69°, rel. 100, hkl 2 0 4; 2θ = 38.28°, rel. 20, hkl 0 0 13; 2θ = 38.75°, rel. 28, hkl 2 0 5; 2θ = 43.09°, rel. 53, hkl 0 2 8; 2θ = 44.88°, rel. 28, hkl 0 2 9; 2θ = 64.22°, rel. 25, hkl 2 2 0; 2θ = 75.44°, rel. 21, hkl 0 2 21

```
data_Ag17Pb
_chemical_formula_sum 'Ag34 Pb2'
_symmetry_space_group_name_H-M 'P 1'
_symmetry_Int_Tables_number 1
_symmetry_space_group_name_Hall 'P 1'
_cell_length_a 5.8020
_cell_length_b 5.8020
_cell_length_c 30.5656
_cell_angle_alpha 90.00
_cell_angle_beta 90.00
_cell_angle_gamma 120.00
loop_
_atom_site_label
_atom_site_type_symbol
_atom_site_fract_x
_atom_site_fract_y
_atom_site_fract_z
Ag1 Ag 0.0000 0.0000 0.0000
Ag2 Ag 0.0000 0.0000 0.2355
Ag3 Ag 0.0000 0.0000 0.7645
Ag4 Ag 0.0000 0.5000 0.0000
Ag5 Ag 0.0031 0.5016 0.2364
Ag6 Ag 0.1667 0.3333 0.1571
Ag7 Ag 0.1668 0.3335 0.6854
Ag8 Ag 0.1668 0.3336 0.9214
Ag9 Ag 0.1667 0.8333 0.1571
Ag10 Ag 0.1668 0.8332 0.6854
Ag11 Ag 0.1668 0.8332 0.9214
Ag12 Ag 0.3333 0.1667 0.8429
Ag13 Ag 0.3333 0.6667 0.0786
Ag14 Ag 0.3333 0.6667 0.8422
Ag15 Ag 0.3336 0.1668 0.0786
Ag16 Ag 0.3335 0.1668 0.3146
Ag17 Ag 0.4984 0.5016 0.2364
Ag18 Ag 0.4984 0.9969 0.2364
Ag19 Ag 0.5000 0.0000 0.0000
Ag20 Ag 0.5000 0.5000 0.0000
Ag21 Ag 0.5016 0.0031 0.7636
Ag22 Ag 0.5016 0.4984 0.7636
Ag23 Ag 0.6665 0.8332 0.6854
Ag24 Ag 0.6664 0.8332 0.9214
Ag25 Ag 0.6667 0.3333 0.1578
Ag26 Ag 0.6667 0.3333 0.9214
Ag27 Ag 0.6667 0.8333 0.1571
Ag28 Ag 0.8332 0.1668 0.0786
Ag29 Ag 0.8332 0.1668 0.3146
Ag30 Ag 0.8333 0.1667 0.8429
Ag31 Ag 0.8332 0.6664 0.0786
Ag32 Ag 0.8332 0.6665 0.3146
Ag33 Ag 0.8333 0.6667 0.8429
Ag34 Ag 0.9969 0.4984 0.7636
Pb1 Pb 0.3333 0.6667 0.3391
Pb2 Pb 0.6667 0.3333 0.6609
```

2.
Simulated XRD peak list
Compound: Ag17Pb
Radiation: copper Kα
Structure: a cell relaxed with GGA-PBE

The 8 most intense peaks (2θ = 10–90°), in order of rising 2θ:
2θ = 35.59°, rel. 32, hkl 0 0 12; 2θ = 37.61°, rel. 50, hkl 2 0 -4; 2θ = 37.72°, rel. 100, hkl 1 2 4; 2θ = 38.67°, rel. 44, hkl 0 0 13; 2θ = 38.80°, rel. 27, hkl 1 2 5; 2θ = 43.18°, rel. 80, hkl 2 0 8; 2θ = 45.00°, rel. 41, hkl 1 2 -9; 2θ = 64.09°, rel. 39, hkl 3 2 0

```
data_Ag17Pb
_chemical_formula_sum 'Ag34 Pb2'
_symmetry_space_group_name_H-M 'P 1'
_symmetry_Int_Tables_number 1
_symmetry_space_group_name_Hall 'P 1'
_cell_length_a 5.0386
_cell_length_b 5.8011
_cell_length_c 30.2724
_cell_angle_alpha 90.00
_cell_angle_beta 90.11
_cell_angle_gamma 90.00
loop_
_atom_site_label
_atom_site_type_symbol
_atom_site_fract_x
_atom_site_fract_y
_atom_site_fract_z
Ag1 Ag 0.0000 0.0000 0.0000
Ag2 Ag 0.0000 0.5000 0.0000
Ag3 Ag 0.0041 0.0034 0.2367
Ag4 Ag 0.0041 0.4966 0.2367
Ag5 Ag 0.1646 0.2500 0.8418
Ag6 Ag 0.1674 0.2500 0.0789
Ag7 Ag 0.1669 0.7500 0.0788
Ag8 Ag 0.1672 0.7500 0.8424
Ag9 Ag 0.1685 0.7500 0.3145
Ag10 Ag 0.3314 0.0019 0.6852
Ag11 Ag 0.3314 0.4981 0.6852
Ag12 Ag 0.3325 0.0011 0.9212
Ag13 Ag 0.3325 0.4989 0.9212
Ag14 Ag 0.3340 0.9996 0.1575
Ag15 Ag 0.3340 0.5004 0.1575
Ag16 Ag 0.4968 0.2500 0.7642
Ag17 Ag 0.4987 0.2500 0.2367
Ag18 Ag 0.5005 0.2500 0.0003
Ag19 Ag 0.4995 0.7500 0.9997
Ag20 Ag 0.5013 0.7500 0.7633
Ag21 Ag 0.5032 0.7500 0.2358
Ag22 Ag 0.6660 0.0004 0.8425
Ag23 Ag 0.6660 0.4996 0.8425
Ag24 Ag 0.6675 0.5011 0.0788
Ag25 Ag 0.6675 0.9989 0.0788
Ag26 Ag 0.6686 0.5019 0.3148
Ag27 Ag 0.6686 0.9981 0.3148
Ag28 Ag 0.8315 0.2500 0.6855
Ag29 Ag 0.8328 0.2500 0.1576
Ag30 Ag 0.8331 0.2500 0.9212
Ag31 Ag 0.8326 0.7500 0.9211
Ag32 Ag 0.8354 0.7500 0.1582
Ag33 Ag 0.9959 0.5034 0.7633
Ag34 Ag 0.9959 0.9966 0.7633
Pb1 Pb 0.1683 0.2500 0.3381
Pb2 Pb 0.8317 0.7500 0.6619
```

Q: What is the formula in the second record?
A: Ag17Pb